[1]
Calculated X-ray powder pattern
Compound: Er4Te4Pb
Radiation: Cu Kα (λ = 1.5418 Å)
Structure: a crystal structure in Alexandria, relaxed with PBE

Structure:
```
data_Er4Te4Pb
_chemical_formula_sum 'Er4 Te4 Pb1'
_space_group_name_H-M_alt 'P 1'
_space_group_IT_number 1
_cell_length_a 7.5952
_cell_length_b 7.5952
_cell_length_c 10.7287
_cell_angle_alpha 118.84
_cell_angle_beta 118.84
_cell_angle_gamma 33.11
loop_
_space_group_symop_operation_xyz
'x,y,z'
loop_
_atom_site_label
_atom_site_type_symbol
_atom_site_fract_x
_atom_site_fract_y
_atom_site_fract_z
Er1 Er 0.0968 0.0968 0.3991
Er2 Er 0.3012 0.3012 0.1974
Er3 Er 0.6988 0.6988 0.8026
Er4 Er 0.9032 0.9032 0.6009
Te1 Te 0.1024 0.1024 0.9018
Te2 Te 0.3026 0.3026 0.7016
Te3 Te 0.6974 0.6974 0.2984
Te4 Te 0.8976 0.8976 0.0982
Pb1 Pb 0.5000 0.5000 0.5000
```

Largest 12 diffraction maxima, low angle first, 2θ = 10–80°:
Position (°2θ)	I_rel
28.93	100
29.12	48
41.01	19
41.51	74
41.73	18
51.08	20
51.69	20
59.94	13
68.01	17
68.30	17
75.05	13
76.04	19

=====

[2]
Calculated X-ray powder pattern
Compound: MgMn2Br6
Radiation: Cu Kα (λ = 1.5418 Å)
Structure: a crystal structure in Alexandria, relaxed with PBE

Structure:
```
data_MgMn2Br6
_chemical_formula_sum 'Mg1 Mn2 Br6'
_space_group_name_H-M_alt 'P 1'
_space_group_IT_number 1
_cell_length_a 9.1704
_cell_length_b 9.1704
_cell_length_c 8.2547
_cell_angle_alpha 107.84
_cell_angle_beta 107.84
_cell_angle_gamma 24.42
loop_
_space_group_symop_operation_xyz
'x,y,z'
loop_
_atom_site_label
_atom_site_type_symbol
_atom_site_fract_x
_atom_site_fract_y
_atom_site_fract_z
Mg1 Mg 0.0000 0.0000 0.0000
Mn1 Mn 0.3340 0.3340 0.6666
Mn2 Mn 0.6660 0.6660 0.3334
Br1 Br 0.1589 0.1589 0.1013
Br2 Br 0.1742 0.1742 0.5656
Br3 Br 0.4930 0.4930 0.7683
Br4 Br 0.5070 0.5070 0.2317
Br5 Br 0.8258 0.8258 0.4344
Br6 Br 0.8411 0.8411 0.8988
```

Largest 12 diffraction maxima, low angle first, 2θ = 10–80°:
Position (°2θ)	I_rel
12.73	71
25.62	23
27.87	68
31.53	51
31.72	100
40.52	18
43.88	33
44.05	16
46.75	35
46.85	17
57.59	26
77.35	14

=====

[3]
Calculated X-ray powder pattern
Compound: Li4TeI2
Radiation: Cu Kα (λ = 1.5418 Å)
Structure: a crystal structure in Alexandria, relaxed with PBE

Structure:
```
data_Li4TeI2
_chemical_formula_sum 'Li16 Te4 I8'
_space_group_name_H-M_alt 'P 1'
_space_group_IT_number 1
_cell_length_a 8.4746
_cell_length_b 8.4746
_cell_length_c 11.9125
_cell_angle_alpha 90.00
_cell_angle_beta 90.00
_cell_angle_gamma 90.00
loop_
_space_group_symop_operation_xyz
'x,y,z'
loop_
_atom_site_label
_atom_site_type_symbol
_atom_site_fract_x
_atom_site_fract_y
_atom_site_fract_z
Li1 Li 0.0250 0.2658 0.2586
Li2 Li 0.0250 0.7342 0.2414
Li3 Li 0.2658 0.0250 0.4914
Li4 Li 0.2658 0.9750 0.0086
Li5 Li 0.2712 0.4654 0.4768
Li6 Li 0.2712 0.5346 0.0232
Li7 Li 0.4654 0.2712 0.2732
Li8 Li 0.4654 0.7288 0.2268
Li9 Li 0.5346 0.2712 0.7268
Li10 Li 0.5346 0.7288 0.7732
Li11 Li 0.7288 0.4654 0.5232
Li12 Li 0.7288 0.5346 0.9768
Li13 Li 0.7342 0.0250 0.5086
Li14 Li 0.7342 0.9750 0.9914
Li15 Li 0.9750 0.2658 0.7414
Li16 Li 0.9750 0.7342 0.7586
Te1 Te 0.2394 0.5000 0.2500
Te2 Te 0.5000 0.2394 0.5000
Te3 Te 0.5000 0.7606 0.0000
Te4 Te 0.7606 0.5000 0.7500
I1 I 0.0000 0.2335 0.5000
I2 I 0.0000 0.7665 0.0000
I3 I 0.2335 0.0000 0.2500
I4 I 0.2559 0.2559 0.8750
I5 I 0.2559 0.7441 0.6250
I6 I 0.7441 0.2559 0.1250
I7 I 0.7441 0.7441 0.3750
I8 I 0.7665 0.0000 0.7500
```

Largest 12 diffraction maxima, low angle first, 2θ = 10–80°:
Position (°2θ)	I_rel
21.01	39
24.65	100
24.76	49
25.80	52
36.78	12
39.08	43
39.28	15
42.68	19
42.81	38
49.96	14
50.54	16
59.26	19